No. 1
Starting from a crystal structure in Alexandria, relaxed with PBE, the X-ray diffraction stick pattern of CaPb2Au4 was computed for a wavelength of 1.5418 Å.
Lines closer than 0.1° are merged.

Cell and atoms:
Cell lengths 9.6292, 9.6292, 5.5103 Å; angles 90.45, 90.45, 40.70 degrees
Positions (direct):
1 Ca 0.2334 0.7666 0.7500
2 Ca 0.7666 0.2334 0.2500
3 Pb 0.1545 0.4342 0.7524
4 Pb 0.4342 0.1545 0.2524
5 Pb 0.5658 0.8455 0.7476
6 Pb 0.8455 0.5658 0.2476
7 Au 0.1292 0.1332 0.5022
8 Au 0.1332 0.1292 0.0022
9 Au 0.2770 0.5655 0.2465
10 Au 0.4345 0.7230 0.2535
11 Au 0.5655 0.2770 0.7465
12 Au 0.7230 0.4345 0.7535
13 Au 0.8668 0.8708 0.9978
14 Au 0.8708 0.8668 0.4978

Top 10 peaks for 10° ≤ 2θ ≤ 90°, by intensity:
2θ (°)	intensity
32.83	100.0
37.35	88.3
35.58	78.0
32.43	73.3
32.63	59.3
40.73	40.5
38.46	36.7
42.49	29.1
19.67	28.7
33.32	28.0

No. 2
Starting from a crystal structure in Alexandria, relaxed with PBE, the X-ray diffraction stick pattern of CaPb2Au2 was computed for a wavelength of 1.5418 Å.
Lines closer than 0.1° are merged.

Cell and atoms:
Cell lengths 5.1000, 5.1443, 10.2318 Å; angles 90.00, 90.00, 90.00 degrees
Positions (direct):
1 Ca 0.2500 0.2500 0.1730
2 Ca 0.7500 0.7500 0.8270
3 Pb 0.2500 0.2500 0.5105
4 Pb 0.2500 0.2500 0.8342
5 Pb 0.7500 0.7500 0.1658
6 Pb 0.7500 0.7500 0.4895
7 Au 0.2500 0.7500 0.0083
8 Au 0.2500 0.7500 0.6594
9 Au 0.7500 0.2500 0.3406
10 Au 0.7500 0.2500 0.9917

Top 10 peaks for 10° ≤ 2θ ≤ 90°, by intensity:
2θ (°)	intensity
36.18	100.0
19.45	30.5
34.88	28.1
35.19	27.5
50.39	20.7
63.39	19.9
63.79	19.6
24.54	19.4
76.78	12.4
53.77	11.9

No. 3
Starting from a crystal structure in Alexandria, relaxed with PBE, the X-ray diffraction stick pattern of CaPbAu was computed for a wavelength of 1.5418 Å.
Lines closer than 0.1° are merged.

Cell and atoms:
Cell lengths 14.3441, 4.0639, 8.1330 Å; angles 90.00, 90.00, 90.00 degrees
Positions (direct):
1 Ca 0.0544 0.0000 0.2209
2 Ca 0.2500 0.0000 0.8209
3 Ca 0.4456 0.0000 0.2209
4 Ca 0.5544 0.0000 0.7791
5 Ca 0.7500 0.0000 0.1791
6 Ca 0.9456 0.0000 0.7791
7 Pb 0.1134 0.5000 0.5592
8 Pb 0.2500 0.5000 0.1640
9 Pb 0.3866 0.5000 0.5592
10 Pb 0.6134 0.5000 0.4408
11 Pb 0.7500 0.5000 0.8360
12 Pb 0.8866 0.5000 0.4408
13 Au 0.0902 0.5000 0.9266
14 Au 0.2500 0.0000 0.4321
15 Au 0.4098 0.5000 0.9266
16 Au 0.5902 0.5000 0.0734
17 Au 0.7500 0.0000 0.5679
18 Au 0.9098 0.5000 0.0734

Top 10 peaks for 10° ≤ 2θ ≤ 90°, by intensity:
2θ (°)	intensity
21.87	100.0
33.32	73.1
38.16	68.9
30.90	65.4
21.56	60.1
40.21	50.3
40.49	47.5
44.59	44.5
60.10	43.9
37.62	41.4

No. 4
Starting from a crystal structure in Alexandria, relaxed with PBE, the X-ray diffraction stick pattern of Ca3PbAu4 was computed for a wavelength of 1.5418 Å.
Lines closer than 0.1° are merged.

Cell and atoms:
Cell lengths 8.9001, 8.9001, 8.9001 Å; angles 33.44, 33.44, 33.44 degrees
Positions (direct):
1 Ca 0.0000 0.0000 0.0000
2 Ca 0.2446 0.2446 0.2446
3 Ca 0.7554 0.7554 0.7554
4 Pb 0.5000 0.5000 0.5000
5 Au 0.1205 0.1205 0.1205
6 Au 0.3688 0.3688 0.3688
7 Au 0.6312 0.6312 0.6312
8 Au 0.8795 0.8795 0.8795

Top 10 peaks for 10° ≤ 2θ ≤ 90°, by intensity:
2θ (°)	intensity
35.00	100.0
62.82	27.4
24.55	20.0
50.33	17.4
84.57	8.1
62.63	7.5
84.42	6.8
74.04	5.9
32.03	4.9
21.21	4.8

No. 5
Starting from a crystal structure in Alexandria, relaxed with PBE, the X-ray diffraction stick pattern of Ca2PbAu4 was computed for a wavelength of 1.5418 Å.
Lines closer than 0.1° are merged.

Cell and atoms:
Cell lengths 5.5814, 5.5814, 9.2747 Å; angles 116.61, 116.61, 60.36 degrees
Positions (direct):
1 Ca 0.1203 0.1203 0.2413
2 Ca 0.8797 0.8797 0.7587
3 Pb 0.5000 0.5000 0.0000
4 Au 0.0000 0.5000 0.0000
5 Au 0.3044 0.3044 0.6081
6 Au 0.5000 0.0000 0.0000
7 Au 0.6956 0.6956 0.3919

Top 10 peaks for 10° ≤ 2θ ≤ 90°, by intensity:
2θ (°)	intensity
37.06	100.0
33.75	97.1
21.56	80.9
19.13	63.6
11.15	62.3
33.90	58.4
22.42	53.5
43.17	49.5
37.27	49.2
51.10	40.7

No. 6
Starting from a crystal structure in Alexandria, relaxed with PBE, the X-ray diffraction stick pattern of Ca2Pd5PbAu2 was computed for a wavelength of 1.5418 Å.
Lines closer than 0.1° are merged.

Cell and atoms:
Cell lengths 9.7737, 9.7737, 4.1420 Å; angles 90.00, 90.00, 90.00 degrees
Positions (direct):
1 Ca 0.1694 0.3306 0.0000
2 Ca 0.3306 0.8306 0.0000
3 Ca 0.6694 0.1694 0.0000
4 Ca 0.8306 0.6694 0.0000
5 Pd 0.0000 0.5000 0.5000
6 Pd 0.0649 0.7991 0.5000
7 Pd 0.2009 0.0649 0.5000
8 Pd 0.2991 0.5649 0.5000
9 Pd 0.4351 0.2991 0.5000
10 Pd 0.5000 0.0000 0.5000
11 Pd 0.5649 0.7009 0.5000
12 Pd 0.7009 0.4351 0.5000
13 Pd 0.7991 0.9351 0.5000
14 Pd 0.9351 0.2009 0.5000
15 Pb 0.0000 0.0000 0.0000
16 Pb 0.5000 0.5000 0.0000
17 Au 0.1279 0.6279 0.0000
18 Au 0.3721 0.1279 0.0000
19 Au 0.6279 0.8721 0.0000
20 Au 0.8721 0.3721 0.0000

Top 10 peaks for 10° ≤ 2θ ≤ 90°, by intensity:
2θ (°)	intensity
36.27	100.0
20.32	44.9
39.74	37.1
43.71	23.0
33.78	16.5
18.15	14.1
41.31	11.9
75.40	11.9
37.96	10.0
42.98	10.0

No. 7
Starting from a crystal structure in Alexandria, relaxed with PBE, the X-ray diffraction stick pattern of Ca3Zn2Pb2Au4 was computed for a wavelength of 1.5418 Å.
Lines closer than 0.1° are merged.

Cell and atoms:
Cell lengths 4.6794, 4.6794, 14.2083 Å; angles 90.00, 90.00, 120.00 degrees
Positions (direct):
1 Ca 0.0000 0.0000 0.0000
2 Ca 0.0000 0.0000 0.2522
3 Ca 0.0000 0.0000 0.7478
4 Zn 0.3333 0.6667 0.1397
5 Zn 0.6667 0.3333 0.8603
6 Pb 0.3333 0.6667 0.5709
7 Pb 0.6667 0.3333 0.4291
8 Au 0.3333 0.6667 0.3439
9 Au 0.3333 0.6667 0.8778
10 Au 0.6667 0.3333 0.1222
11 Au 0.6667 0.3333 0.6561

Top 10 peaks for 10° ≤ 2θ ≤ 90°, by intensity:
2θ (°)	intensity
38.48	100.0
33.55	80.1
21.93	55.3
29.00	44.7
46.48	32.5
25.07	27.0
38.70	25.6
51.95	23.3
66.47	22.3
25.30	20.7

No. 8
Starting from a crystal structure in Alexandria, relaxed with PBE, the X-ray diffraction stick pattern of Ca4PdAu was computed for a wavelength of 1.5418 Å.
Lines closer than 0.1° are merged.

Cell and atoms:
Cell lengths 8.3086, 8.3086, 6.7083 Å; angles 108.71, 108.71, 110.79 degrees
Positions (direct):
1 Ca 0.0537 0.6983 0.9063
2 Ca 0.2405 0.3587 0.7336
3 Ca 0.3017 0.9463 0.5937
4 Ca 0.3587 0.2405 0.2336
5 Ca 0.6413 0.7595 0.7664
6 Ca 0.6983 0.0537 0.4063
7 Ca 0.7595 0.6413 0.2664
8 Ca 0.9463 0.3017 0.0937
9 Pd 0.0033 0.9967 0.7500
10 Pd 0.9967 0.0033 0.2500
11 Au 0.3644 0.6356 0.2500
12 Au 0.6356 0.3644 0.7500

Top 10 peaks for 10° ≤ 2θ ≤ 90°, by intensity:
2θ (°)	intensity
14.89	100.0
22.60	71.9
33.86	71.2
20.64	70.4
23.12	59.2
29.32	58.8
37.05	58.7
39.97	53.2
34.77	50.9
22.84	48.8

No. 9
Starting from a crystal structure in Alexandria, relaxed with PBE, the X-ray diffraction stick pattern of CaPd6Au23 was computed for a wavelength of 1.5418 Å.
Lines closer than 0.1° are merged.

Cell and atoms:
Cell lengths 10.0578, 10.0578, 10.0578 Å; angles 132.05, 132.05, 70.15 degrees
Positions (direct):
1 Ca 0.0000 0.0000 0.0000
2 Pd 0.2474 0.2474 0.0000
3 Pd 0.2520 0.2520 0.5039
4 Pd 0.2520 0.7480 0.0000
5 Pd 0.7480 0.2520 0.0000
6 Pd 0.7480 0.7480 0.4961
7 Pd 0.7526 0.7526 0.0000
8 Au 0.0000 0.0000 0.5000
9 Au 0.0000 0.5000 0.0000
10 Au 0.0000 0.5000 0.5000
11 Au 0.1239 0.3731 0.7508
12 Au 0.1284 0.3851 0.2566
13 Au 0.1282 0.8716 0.2566
14 Au 0.1284 0.8718 0.7434
15 Au 0.3731 0.1239 0.7508
16 Au 0.3731 0.6224 0.2492
17 Au 0.3776 0.6269 0.7508
18 Au 0.3851 0.1284 0.2566
19 Au 0.5000 0.0000 0.0000
20 Au 0.5000 0.0000 0.5000
21 Au 0.5000 0.5000 0.0000
22 Au 0.5000 0.5000 0.5000
23 Au 0.6149 0.8716 0.7434
24 Au 0.6224 0.3731 0.2492
25 Au 0.6269 0.3776 0.7508
26 Au 0.6269 0.8761 0.2492
27 Au 0.8716 0.1282 0.2566
28 Au 0.8718 0.1284 0.7434
29 Au 0.8716 0.6149 0.7434
30 Au 0.8761 0.6269 0.2492

Top 10 peaks for 10° ≤ 2θ ≤ 90°, by intensity:
2θ (°)	intensity
38.05	100.0
44.33	32.7
77.40	25.8
64.24	21.6
44.00	16.6
76.93	12.9
81.37	11.3
64.49	10.7
24.32	6.7
21.59	4.3

No. 10
Starting from a crystal structure in Alexandria, relaxed with PBE, the X-ray diffraction stick pattern of CaPdAu6 was computed for a wavelength of 1.5418 Å.
Lines closer than 0.1° are merged.

Cell and atoms:
Cell lengths 5.3581, 5.3581, 5.3581 Å; angles 90.00, 90.00, 90.00 degrees
Positions (direct):
1 Ca 0.0000 0.0000 0.0000
2 Pd 0.5000 0.5000 0.5000
3 Au 0.0000 0.2524 0.5000
4 Au 0.0000 0.7476 0.5000
5 Au 0.2524 0.5000 0.0000
6 Au 0.5000 0.0000 0.2524
7 Au 0.5000 0.0000 0.7476
8 Au 0.7476 0.5000 0.0000

Top 10 peaks for 10° ≤ 2θ ≤ 90°, by intensity:
2θ (°)	intensity
37.53	100.0
41.27	36.1
62.50	22.9
82.50	21.8
65.14	18.7
33.45	16.1
59.79	15.1
23.48	15.0
70.27	11.4
80.10	5.3

No. 11
Starting from a crystal structure in Alexandria, relaxed with PBE, the X-ray diffraction stick pattern of Ca3Pd2Au7 was computed for a wavelength of 1.5418 Å.
Lines closer than 0.1° are merged.

Cell and atoms:
Cell lengths 9.9210, 9.9210, 9.9210 Å; angles 32.50, 32.50, 32.50 degrees
Positions (direct):
1 Ca 0.0000 0.0000 0.0000
2 Ca 0.1392 0.1392 0.1392
3 Ca 0.8608 0.8608 0.8608
4 Pd 0.3330 0.3330 0.3330
5 Pd 0.6670 0.6670 0.6670
6 Au 0.0799 0.5842 0.5842
7 Au 0.4158 0.4158 0.9200
8 Au 0.4158 0.9200 0.4158
9 Au 0.5000 0.5000 0.5000
10 Au 0.5842 0.0799 0.5842
11 Au 0.5842 0.5842 0.0799
12 Au 0.9200 0.4158 0.4158

Top 10 peaks for 10° ≤ 2θ ≤ 90°, by intensity:
2θ (°)	intensity
37.62	100.0
18.72	71.9
40.81	60.6
43.87	43.2
18.90	36.1
38.35	35.8
80.37	26.0
67.48	23.7
68.84	22.2
37.97	22.1

No. 12
Starting from a crystal structure in Alexandria, relaxed with PBE, the X-ray diffraction stick pattern of CaPd5Au6 was computed for a wavelength of 1.5418 Å.
Lines closer than 0.1° are merged.

Cell and atoms:
Cell lengths 6.4614, 6.4614, 8.1933 Å; angles 90.00, 90.00, 142.44 degrees
Positions (direct):
1 Ca 0.0000 0.0000 0.0000
2 Pd 0.0000 0.0000 0.5000
3 Pd 0.3307 0.6693 0.0000
4 Pd 0.3354 0.6646 0.5000
5 Pd 0.6646 0.3354 0.5000
6 Pd 0.6693 0.3307 0.0000
7 Au 0.1692 0.8308 0.2572
8 Au 0.1692 0.8308 0.7428
9 Au 0.5000 0.5000 0.2594
10 Au 0.5000 0.5000 0.7406
11 Au 0.8308 0.1692 0.2572
12 Au 0.8308 0.1692 0.7428

Top 10 peaks for 10° ≤ 2θ ≤ 90°, by intensity:
2θ (°)	intensity
37.91	100.0
43.51	17.1
44.43	16.2
44.22	15.9
76.14	13.2
77.45	12.5
77.15	12.0
81.02	11.0
21.69	11.0
63.94	10.8

No. 13
Starting from a crystal structure in Alexandria, relaxed with PBE, the X-ray diffraction stick pattern of CaPd2Au10 was computed for a wavelength of 1.5418 Å.
Lines closer than 0.1° are merged.

Cell and atoms:
Cell lengths 5.6794, 7.2119, 7.2124 Å; angles 80.92, 66.83, 67.06 degrees
Positions (direct):
1 Ca 0.0000 0.0000 0.0000
2 Pd 0.0000 0.0000 0.5000
3 Pd 0.5000 0.0000 0.5000
4 Au 0.0000 0.5000 0.0000
5 Au 0.0078 0.3349 0.6522
6 Au 0.2851 0.2127 0.2178
7 Au 0.3401 0.6642 0.6524
8 Au 0.4977 0.7840 0.2209
9 Au 0.5000 0.5000 0.0000
10 Au 0.5023 0.2160 0.7791
11 Au 0.6599 0.3358 0.3476
12 Au 0.7149 0.7873 0.7822
13 Au 0.9922 0.6651 0.3478

Top 10 peaks for 10° ≤ 2θ ≤ 90°, by intensity:
2θ (°)	intensity
41.91	100.0
38.07	64.4
37.96	37.9
41.76	37.0
38.47	35.1
38.26	34.3
37.05	31.5
36.95	30.8
65.79	29.8
43.03	29.7